Record 1
Computed PXRD pattern of Nd2SmGe2Pt7 for CuKα, from a crystal structure in Alexandria, relaxed with PBE.
Peak positions follow from Bragg's law for the DFT cell and can differ from measured ones.

Structure:
```
Nd2SmGe2Pt7
1.0
2.941 -2.905 0.000
2.941 2.905 0.000
-2.060 0.000 14.020
Nd Sm Ge Pt
2 1 2 7
Cartesian
-0.076 0.000 5.004 Nd
3.898 0.000 9.016 Nd
0.000 0.000 0.000 Sm
0.869 0.000 10.454 Ge
2.954 0.000 3.567 Ge
1.479 1.449 2.181 Pt
1.048 0.000 8.010 Pt
2.343 1.449 11.840 Pt
2.941 0.000 0.000 Pt
1.479 -1.449 2.181 Pt
2.775 0.000 6.010 Pt
2.343 -1.449 11.840 Pt
```

Top 10 peaks for 15° ≤ 2θ ≤ 90°, sorted by position:
Position (°2θ), I/Imax
31.47, 47.7
31.92, 24.7
33.39, 32.7
33.84, 54.7
35.07, 80.5
35.31, 26.8
36.42, 100.0
43.85, 89.2
44.05, 39.9
63.27, 31.7

---

Record 2
Computed PXRD pattern of Nd3SnGe2Pt9 for CuKα, from a crystal structure in Alexandria, relaxed with PBE.
Peak positions follow from Bragg's law for the DFT cell and can differ from measured ones.

Structure:
```
Nd3SnGe2Pt9
1.0
6.522 0.000 0.000
-3.261 5.648 0.000
0.000 0.000 9.461
Nd Sn Ge Pt
3 1 2 9
Cartesian
0.000 0.000 0.000 Nd
0.000 3.766 7.006 Nd
3.261 1.883 2.455 Nd
0.000 0.000 4.730 Sn
0.000 3.766 1.705 Ge
3.261 1.883 7.756 Ge
-1.631 2.824 0.000 Pt
0.000 1.581 2.577 Pt
-1.892 4.858 2.577 Pt
1.369 0.790 6.883 Pt
3.261 0.000 0.000 Pt
1.631 2.824 0.000 Pt
1.892 4.858 2.577 Pt
5.153 0.790 6.883 Pt
3.261 4.068 6.883 Pt
```

Top 10 peaks for 15° ≤ 2θ ≤ 90°, sorted by position:
Position (°2θ), I/Imax
18.29, 16.3
18.76, 15.8
33.10, 80.5
37.07, 100.0
38.05, 27.3
42.99, 34.1
56.43, 26.5
58.74, 19.8
69.48, 17.6
70.10, 20.3

---

Record 3
Computed PXRD pattern of Nd2TaGe3Pt4 for CuKα, from a crystal structure in Alexandria, relaxed with PBE.
Peak positions follow from Bragg's law for the DFT cell and can differ from measured ones.

Structure:
```
Nd2TaGe3Pt4
1.0
4.314 0.000 0.000
0.000 4.314 0.000
0.000 0.000 10.604
Nd Ta Ge Pt
2 1 3 4
Cartesian
0.000 2.157 2.550 Nd
2.157 0.000 8.054 Nd
0.000 0.000 5.302 Ta
0.000 2.157 9.198 Ge
2.157 0.000 1.406 Ge
2.157 2.157 5.302 Ge
0.000 0.000 0.000 Pt
0.000 2.157 6.731 Pt
2.157 0.000 3.873 Pt
2.157 2.157 0.000 Pt
```

Top 10 peaks for 15° ≤ 2θ ≤ 90°, sorted by position:
Position (°2θ), I/Imax
26.64, 14.6
32.76, 39.2
33.90, 100.0
41.89, 59.2
45.33, 37.9
47.79, 21.5
54.16, 18.9
60.73, 19.9
65.40, 16.8
71.40, 24.3

---

Record 4
Computed PXRD pattern of Nd8Ge3Te4Pt for CuKα, from a crystal structure in Alexandria, relaxed with PBE.
Peak positions follow from Bragg's law for the DFT cell and can differ from measured ones.

Structure:
```
Nd8Ge3Te4Pt
1.0
4.367 2.521 7.342
-4.367 2.521 7.342
0.000 -5.043 7.342
Nd Ge Te Pt
8 3 4 1
Cartesian
-2.188 -1.263 12.646 Nd
0.000 0.000 5.338 Nd
0.000 -2.527 9.381 Nd
-2.188 1.263 9.381 Nd
2.188 -1.263 12.646 Nd
0.000 2.527 12.646 Nd
0.000 0.000 16.689 Nd
2.188 1.263 9.381 Nd
-4.367 0.000 11.013 Ge
-2.184 1.261 3.671 Ge
2.184 1.261 3.671 Ge
0.000 0.000 0.000 Te
-2.184 -1.261 7.342 Te
-2.184 1.261 14.684 Te
0.000 2.521 7.342 Te
0.000 0.000 11.013 Pt
```

Top 10 peaks for 15° ≤ 2θ ≤ 90°, sorted by position:
Position (°2θ), I/Imax
28.63, 100.0
40.53, 36.0
41.35, 38.1
49.67, 5.8
51.07, 20.0
59.28, 11.7
66.55, 14.3
67.72, 17.1
74.84, 11.8
75.39, 7.5

---

Record 5
Computed PXRD pattern of NdPuGe2 for CuKα, from a crystal structure in Alexandria, relaxed with PBE.
Peak positions follow from Bragg's law for the DFT cell and can differ from measured ones.

Structure:
```
NdPuGe2
1.0
4.003 0.000 0.000
0.000 5.929 0.000
0.000 0.000 8.279
Nd Pu Ge
2 2 4
Cartesian
0.000 0.809 0.000 Nd
0.000 5.120 4.140 Nd
2.001 2.163 3.010 Pu
2.001 3.766 7.150 Pu
0.000 2.293 5.352 Ge
0.000 3.635 1.213 Ge
2.001 0.681 5.940 Ge
2.001 5.247 1.800 Ge
```

Top 10 peaks for 15° ≤ 2θ ≤ 90°, sorted by position:
Position (°2θ), I/Imax
29.00, 100.0
31.08, 93.5
32.07, 96.0
34.65, 80.6
35.89, 62.4
39.36, 76.5
45.31, 36.9
46.47, 27.5
56.55, 61.8
59.11, 30.9

---

Record 6
Computed PXRD pattern of Nd2Pu3Ge4 for CuKα, from a crystal structure in Alexandria, relaxed with PBE.
Peak positions follow from Bragg's law for the DFT cell and can differ from measured ones.

Structure:
```
Nd2Pu3Ge4
1.0
7.876 0.000 0.000
0.000 7.902 0.000
-2.380 0.000 7.189
Nd Pu Ge
4 6 8
Cartesian
1.329 1.410 0.496 Nd
0.139 2.541 4.091 Nd
5.357 5.361 3.098 Nd
4.167 6.492 6.692 Nd
1.399 5.406 1.762 Pu
0.209 6.447 5.357 Pu
2.748 0.000 3.594 Pu
3.938 3.951 0.000 Pu
5.287 1.455 1.832 Pu
4.097 2.496 5.427 Pu
-1.462 4.198 6.175 Ge
-0.272 7.655 2.580 Ge
1.746 0.957 6.268 Ge
2.936 2.994 2.674 Ge
2.560 4.908 4.515 Ge
3.750 6.945 0.920 Ge
5.768 0.247 4.608 Ge
6.958 3.704 1.014 Ge
```

Top 10 peaks for 15° ≤ 2θ ≤ 90°, sorted by position:
Position (°2θ), I/Imax
26.42, 34.0
28.53, 30.3
32.48, 59.2
32.87, 73.3
33.00, 100.0
36.05, 24.7
36.32, 35.1
37.40, 49.2
56.02, 24.9
56.27, 24.1

---

Record 7
Computed PXRD pattern of Rb3Nd3GeS8 for CuKα, from a crystal structure in Alexandria, relaxed with PBE.
Peak positions follow from Bragg's law for the DFT cell and can differ from measured ones.

Structure:
```
Rb3Nd3GeS8
1.0
4.089 2.361 7.867
-4.089 2.361 7.867
0.000 -4.721 7.867
Rb Nd Ge S
3 3 1 8
Cartesian
-2.044 -1.180 7.867 Rb
-2.044 1.180 15.734 Rb
0.000 2.361 7.867 Rb
-4.089 0.000 11.801 Nd
-2.044 1.180 3.934 Nd
2.044 1.180 3.934 Nd
0.000 0.000 11.801 Ge
0.000 0.000 5.484 S
-1.808 -1.044 13.218 S
0.000 -2.088 10.384 S
-1.808 1.044 10.384 S
1.808 -1.044 13.218 S
0.000 2.088 13.218 S
1.808 1.044 10.384 S
0.000 0.000 18.117 S
```

Top 10 peaks for 15° ≤ 2θ ≤ 90°, sorted by position:
Position (°2θ), I/Imax
22.60, 21.9
26.28, 35.9
29.42, 100.0
36.82, 15.0
39.77, 34.7
44.31, 32.2
46.21, 20.5
50.30, 17.4
54.08, 16.1
65.92, 16.7

---

Record 8
Computed PXRD pattern of Nd2Ge3Rh for CuKα, from a crystal structure in Alexandria, relaxed with PBE.
Peak positions follow from Bragg's law for the DFT cell and can differ from measured ones.

Structure:
```
Nd2Ge3Rh
1.0
0.000 4.278 7.385
4.197 0.000 7.385
4.197 4.278 0.000
Nd Ge Rh
4 6 2
Cartesian
6.306 4.278 7.385 Nd
2.099 2.139 3.692 Nd
6.296 6.418 11.077 Nd
2.089 4.278 7.385 Nd
4.197 2.113 6.135 Ge
4.197 4.278 4.895 Ge
4.197 2.113 8.635 Ge
4.197 6.444 6.135 Ge
4.197 4.278 9.875 Ge
4.197 6.444 8.635 Ge
4.197 4.278 2.460 Rh
4.197 4.278 12.309 Rh
```

Top 10 peaks for 15° ≤ 2θ ≤ 90°, sorted by position:
Position (°2θ), I/Imax
24.06, 7.6
32.26, 100.0
42.25, 14.7
42.36, 29.2
43.10, 13.9
54.15, 15.3
54.28, 7.5
62.00, 28.0
70.95, 6.7
71.13, 13.3

---

Record 9
Computed PXRD pattern of Nd4Ge6Rh7 for CuKα, from a crystal structure in Alexandria, relaxed with PBE.
Peak positions follow from Bragg's law for the DFT cell and can differ from measured ones.

Structure:
```
Nd4Ge6Rh7
1.0
-4.284 4.284 4.284
4.284 -4.284 4.284
4.284 4.284 -4.284
Nd Ge Rh
4 6 7
Cartesian
2.142 2.142 -2.142 Nd
2.142 -2.142 2.142 Nd
-2.142 2.142 2.142 Nd
2.142 2.142 2.142 Nd
2.810 0.000 0.000 Ge
5.758 0.000 0.000 Ge
0.000 2.810 0.000 Ge
0.000 0.000 2.810 Ge
0.000 5.758 0.000 Ge
0.000 0.000 5.758 Ge
0.000 0.000 0.000 Rh
4.284 2.142 0.000 Rh
4.284 0.000 2.142 Rh
2.142 4.284 0.000 Rh
2.142 0.000 4.284 Rh
0.000 4.284 2.142 Rh
0.000 2.142 4.284 Rh
```

Top 10 peaks for 15° ≤ 2θ ≤ 90°, sorted by position:
Position (°2θ), I/Imax
29.49, 29.2
36.32, 100.0
39.35, 25.3
42.19, 65.0
44.88, 13.6
49.93, 18.4
61.19, 32.1
69.37, 11.5
73.29, 25.9
75.22, 11.0

---

Record 10
Computed PXRD pattern of Nd7Ge2Rh2 for CuKα, from a crystal structure in Alexandria, relaxed with PBE.
Peak positions follow from Bragg's law for the DFT cell and can differ from measured ones.

Structure:
```
Nd7Ge2Rh2
1.0
4.291 -5.407 0.000
4.291 5.407 0.000
0.000 0.000 7.131
Nd Ge Rh
7 2 2
Cartesian
0.000 0.000 0.000 Nd
2.146 2.703 1.855 Nd
2.146 2.703 5.276 Nd
2.146 -2.703 1.855 Nd
2.146 -2.703 5.276 Nd
4.291 0.000 1.719 Nd
4.291 0.000 5.413 Nd
1.824 0.000 3.566 Ge
6.759 0.000 3.566 Ge
4.291 2.423 0.000 Rh
4.291 -2.423 0.000 Rh
```

Top 10 peaks for 15° ≤ 2θ ≤ 90°, sorted by position:
Position (°2θ), I/Imax
24.21, 40.1
26.52, 48.5
28.33, 33.8
33.14, 53.1
36.75, 100.0
36.98, 28.5
41.47, 20.5
42.11, 26.6
54.61, 23.2
61.57, 18.7

---

Record 11
Computed PXRD pattern of NdGeRh4 for CuKα, from a crystal structure in Alexandria, relaxed with PBE.
Peak positions follow from Bragg's law for the DFT cell and can differ from measured ones.

Structure:
```
NdGeRh4
1.0
7.536 0.000 0.000
0.000 3.943 0.000
0.000 0.000 6.951
Nd Ge Rh
2 2 8
Cartesian
1.884 0.000 0.993 Nd
5.652 0.000 5.958 Nd
1.884 0.000 5.000 Ge
5.652 0.000 1.952 Ge
0.000 0.000 3.476 Rh
0.398 1.972 5.565 Rh
1.884 1.972 3.147 Rh
3.370 1.972 5.565 Rh
3.768 0.000 3.476 Rh
4.166 1.972 1.386 Rh
5.652 1.972 3.804 Rh
7.138 1.972 1.386 Rh
```

Top 10 peaks for 15° ≤ 2θ ≤ 90°, sorted by position:
Position (°2θ), I/Imax
32.88, 16.6
35.39, 99.3
36.46, 59.3
38.09, 20.5
38.87, 32.1
40.74, 18.4
42.14, 100.0
46.03, 44.9
48.31, 21.2
61.78, 16.2

---

Record 12
Computed PXRD pattern of NdGe2Rh6 for CuKα, from a crystal structure in Alexandria, relaxed with PBE.
Peak positions follow from Bragg's law for the DFT cell and can differ from measured ones.

Structure:
```
NdGe2Rh6
1.0
0.000 5.556 5.556
5.556 0.000 5.556
5.556 5.556 0.000
Nd Ge Rh
2 4 12
Cartesian
1.389 1.389 1.389 Nd
9.723 9.723 9.723 Nd
5.556 2.778 2.778 Ge
2.778 5.556 2.778 Ge
2.778 2.778 5.556 Ge
5.556 5.556 5.556 Ge
4.167 4.167 1.364 Rh
4.167 1.364 4.167 Rh
6.970 4.167 4.167 Rh
6.945 6.945 4.142 Rh
6.945 4.142 6.945 Rh
9.748 6.945 6.945 Rh
1.364 4.167 4.167 Rh
4.167 6.970 4.167 Rh
4.167 4.167 6.970 Rh
4.142 6.945 6.945 Rh
6.945 9.748 6.945 Rh
6.945 6.945 9.748 Rh
```

Top 10 peaks for 15° ≤ 2θ ≤ 90°, sorted by position:
Position (°2θ), I/Imax
26.61, 32.3
27.81, 7.1
32.22, 63.2
42.26, 13.7
46.22, 100.0
57.46, 15.7
64.40, 7.5
67.42, 15.8
76.71, 19.8
85.65, 33.0